This entry pairs a crystal structure of Ti5BiC with its calculated X-ray diffraction stick pattern. Radiation: Cu Kα (weighted mean of Kα1 and Kα2). Structure: the GGA-PBE geometry in Alexandria.
Lines closer than 0.1° are merged.

Most intense lines, 2θ from 10° to 80°, sorted by position:
2θ = 18.45°, 4.808 Å, I 53
2θ = 24.58°, 3.622 Å, I 41
2θ = 37.30°, 2.411 Å, I 89
2θ = 37.40°, 2.404 Å, I 65
2θ = 37.98°, 2.369 Å, I 100
2θ = 39.00°, 2.309 Å, I 43

Cell and atoms:
```
data_Ti5BiC
_space_group_name_H-M_alt 'I m m m'
_space_group_IT_number 71
_space_group_name_Hall '-I 2 2'
_cell_length_a 4.619
_cell_length_b 5.838
_cell_length_c 8.479
_cell_angle_alpha 90.00
_cell_angle_beta 90.00
_cell_angle_gamma 90.00
loop_
_atom_site_label
_atom_site_fract_x
_atom_site_fract_y
_atom_site_fract_z
_atom_site_occupancy
Ti1 0.000 0.000 0.000 1
Ti2 0.000 0.253 0.327 1
Bi1 0.000 0.500 0.000 1
C1 0.000 0.500 0.500 1
```